The following is a theoretical XRD peak list of AcPmH6Pd4. It was derived from the PBE geometry in Alexandria, using Cu Kα, 1.54184 Å.
Kinematic intensities with the Lorentz-polarization factor, no thermal factor.

Largest 10 diffraction maxima, in order of rising 2θ, 10 to 80 degrees two-theta:
(hkl)	2θ/deg	I (rel.)
1 0 0	20.87	10
1 0 1	24.14	14
1 0 2	32.11	100
1 1 0	36.57	84
2 0 2	49.44	34
1 1 3	52.65	16
1 0 4	54.20	8
2 1 2	63.03	41
3 0 0	65.83	14
2 2 0	77.72	15

Cell and atoms:
```
AcPmH6Pd4
1.0
4.914 0.000 0.000
-2.457 4.256 0.000
0.000 0.000 7.378
Ac Pm H Pd
1 1 6 4
Direct
0.000 0.000 0.000
0.000 0.000 0.500
0.000 0.500 0.158
0.000 0.500 0.842
0.500 0.000 0.158
0.500 0.000 0.842
0.500 0.500 0.158
0.500 0.500 0.842
0.333 0.667 0.302
0.333 0.667 0.698
0.667 0.333 0.302
0.667 0.333 0.698
```